1.
This entry pairs a crystal structure of Zn2Cd2SF6 with its computed powder XRD pattern. Radiation: Cu Kα (weighted mean of Kα1 and Kα2). Structure: a PBE-relaxed structure.
Peak positions follow from Bragg's law for the DFT cell and can differ from measured ones.

Peak list (10 most intense, 2θ from 10° to 80°, in order of rising 2θ)
Position (°2θ)	I_rel
14.38	6.5
29.00	100.0
33.61	22.3
36.73	12.0
44.12	3.1
48.27	55.0
57.30	41.4
60.10	8.2
70.65	7.5
78.12	16.0

Structural model:
Unit cell a=10.6658 b=10.6658 c=10.6658 alpha=90.00 beta=90.00 gamma=90.00
Space group Fd-3m (No. 227, origin choice 2)
Inequivalent atoms, fractional coordinates:
Zn (0.0000, 0.0000, 0.0000) [16 per cell]
Cd (0.0000, 0.0000, 0.5000) [16 per cell]
S (0.1250, 0.1250, 0.6250) [8 per cell]
F (0.0752, 0.3750, 0.3750) [48 per cell]

***

2.
This entry pairs a crystal structure of ReTcAsO with its computed powder XRD pattern. Radiation: Cu Kα (weighted mean of Kα1 and Kα2). Structure: a PBE-relaxed structure.
Peak positions follow from Bragg's law for the DFT cell and can differ from measured ones.

Peak list (10 most intense, 2θ from 10° to 80°, in order of rising 2θ)
Position (°2θ)	I_rel
15.68	52.4
22.27	53.1
23.32	57.3
32.47	64.6
34.69	53.7
39.06	80.1
41.61	100.0
42.94	76.0
45.45	58.4
47.67	47.3

Structural model:
Unit cell a=3.9912 b=5.6506 c=5.1719 alpha=90.00 beta=90.00 gamma=90.00
Space group Pmc2_1 (No. 26)
Inequivalent atoms, fractional coordinates:
Re (0.0000, 0.2156, 0.0000) [2 per cell]
Tc (0.5000, 0.0789, 0.6637) [2 per cell]
As (0.0000, 0.3249, 0.4984) [2 per cell]
O (0.5000, 0.2606, 0.0163) [2 per cell]

***

3.
This entry pairs a crystal structure of Lu2ZnS4 with its computed powder XRD pattern. Radiation: Cu Kα (weighted mean of Kα1 and Kα2). Structure: a PBE-relaxed structure.
Peak positions follow from Bragg's law for the DFT cell and can differ from measured ones.

Peak list (10 most intense, 2θ from 10° to 80°, in order of rising 2θ)
Position (°2θ)	I_rel
15.65	27.4
19.46	56.3
24.65	39.2
26.78	36.3
27.28	57.3
28.03	62.9
39.54	100.0
47.22	19.6
47.43	34.0
65.97	18.7

Structural model:
Unit cell a=13.2616 b=7.7000 c=6.2599 alpha=90.00 beta=90.00 gamma=90.00
Space group Pnma (No. 62)
Inequivalent atoms, fractional coordinates:
Lu (0.0000, 0.0000, 0.0000) [4 per cell]
Lu (0.2349, 0.2500, 0.4981) [4 per cell]
Zn (0.0920, 0.7500, 0.4122) [4 per cell]
S (0.0715, 0.2500, 0.7460) [4 per cell]
S (0.0906, 0.7500, 0.7788) [4 per cell]
S (0.1686, 0.5092, 0.2414) [8 per cell]

***

4.
This entry pairs a crystal structure of Ba2Ir2O5 with its computed powder XRD pattern. Radiation: Cu Kα (weighted mean of Kα1 and Kα2). Structure: a PBE-relaxed structure.
Peak positions follow from Bragg's law for the DFT cell and can differ from measured ones.

Peak list (10 most intense, 2θ from 10° to 80°, in order of rising 2θ)
Position (°2θ)	I_rel
30.27	25.9
30.70	29.0
31.55	100.0
43.65	25.4
46.74	11.7
54.58	17.3
55.11	20.9
56.70	9.7
56.96	10.8
65.87	14.1

Structural model:
Unit cell a=15.5482 b=5.9057 c=5.8253 alpha=90.00 beta=90.00 gamma=90.00
Space group Ima2 (No. 46)
Inequivalent atoms, fractional coordinates:
Ba (0.1267, 0.0194, 0.0000) [8 per cell]
Ir (0.0000, 0.0000, 0.5066) [4 per cell]
Ir (0.2500, 0.5471, 0.9936) [4 per cell]
O (0.0166, 0.2433, 0.2516) [8 per cell]
O (0.1255, 0.5579, 0.0162) [8 per cell]
O (0.2500, 0.2040, 0.2713) [4 per cell]

***

5.
This entry pairs a crystal structure of Li6SmI8 with its computed powder XRD pattern. Radiation: Cu Kα (weighted mean of Kα1 and Kα2). Structure: a PBE-relaxed structure.
Peak positions follow from Bragg's law for the DFT cell and can differ from measured ones.

Peak list (10 most intense, 2θ from 10° to 80°, in order of rising 2θ)
Position (°2θ)	I_rel
24.50	12.4
25.60	94.1
29.65	100.0
42.43	73.7
50.21	42.1
52.61	25.7
61.56	11.9
67.79	16.5
69.80	32.3
77.62	23.8

Structural model:
Unit cell a=12.0521 b=12.0521 c=12.0521 alpha=90.00 beta=90.00 gamma=90.00
Space group Fm-3m (No. 225)
Inequivalent atoms, fractional coordinates:
Li (0.0000, 0.2500, 0.2500) [24 per cell]
Sm (0.0000, 0.0000, 0.0000) [4 per cell]
I (0.0000, 0.0000, 0.2586) [24 per cell]
I (0.2500, 0.2500, 0.2500) [8 per cell]

***

6.
This entry pairs a crystal structure of Cu12Sb4Te12S with its computed powder XRD pattern. Radiation: Cu Kα (weighted mean of Kα1 and Kα2). Structure: a PBE-relaxed structure.
Peak positions follow from Bragg's law for the DFT cell and can differ from measured ones.

Peak list (10 most intense, 2θ from 10° to 80°, in order of rising 2θ)
Position (°2θ)	I_rel
27.05	100.0
29.26	21.1
33.29	20.9
40.27	16.3
43.40	13.2
44.90	57.8
49.18	17.4
53.20	27.7
71.00	9.9
72.10	10.6

Structural model:
Unit cell a=11.4201 b=11.4201 c=11.4201 alpha=90.00 beta=90.00 gamma=90.00
Space group I-43m (No. 217)
Inequivalent atoms, fractional coordinates:
Cu (0.0000, 0.0000, 0.2009) [12 per cell]
Cu (0.0000, 0.2500, 0.5000) [12 per cell]
Sb (0.2205, 0.2205, 0.2205) [8 per cell]
Te (0.1135, 0.1135, 0.6391) [24 per cell]
S (0.0000, 0.0000, 0.0000) [2 per cell]